No. 1
The following is a computed X-ray powder pattern of Nd4Ho4Mg. It was derived from a structure optimized by DFT (GGA-PBE), using Cu Ka.
No peak broadening, texture or thermal motion is included.

Peak list (12 most intense, 2θ from 10° to 90°, in order of rising 2θ)
| two_theta | I (rel.) |
| --- | --- |
| 11.7 | 7 |
| 19.5 | 2 |
| 25.7 | 5 |
| 30.7 | 100 |
| 35.6 | 51 |
| 37.6 | 2 |
| 51.3 | 36 |
| 61.0 | 43 |
| 64.0 | 12 |
| 75.4 | 6 |
| 83.6 | 18 |
| 86.3 | 16 |

Cell and atoms:
Lattice parameters (Å, degrees): 7.969 7.969 7.969 95.74 95.74 143.12
Fractional positions:
Nd1 0.166 0.166 0.332
Nd2 0.166 0.834 0.000
Nd3 0.834 0.166 0.000
Nd4 0.834 0.834 0.668
Ho1 0.165 0.500 0.665
Ho2 0.500 0.165 0.665
Ho3 0.500 0.835 0.335
Ho4 0.835 0.500 0.335
Mg1 0.500 0.500 0.000

***

No. 2
The following is a computed X-ray powder pattern of Nd2HoMg2. It was derived from a structure optimized by DFT (GGA-PBE), using Cu Ka.
No peak broadening, texture or thermal motion is included.

Peak list (12 most intense, 2θ from 10° to 90°, in order of rising 2θ)
| two_theta | I (rel.) |
| --- | --- |
| 20.5 | 11 |
| 23.4 | 16 |
| 24.9 | 23 |
| 31.6 | 18 |
| 32.6 | 100 |
| 40.6 | 8 |
| 42.3 | 8 |
| 46.1 | 12 |
| 54.5 | 12 |
| 56.9 | 9 |
| 58.2 | 15 |
| 58.8 | 8 |

Cell and atoms:
Lattice parameters (Å, degrees): 3.833 5.484 14.277 90.00 97.74 90.00
Fractional positions:
Nd1 0.045 0.250 0.090
Nd2 0.236 0.250 0.473
Nd3 0.764 0.750 0.527
Nd4 0.955 0.750 0.910
Ho1 0.150 0.750 0.299
Ho2 0.850 0.250 0.701
Mg1 0.360 0.750 0.720
Mg2 0.446 0.250 0.890
Mg3 0.554 0.750 0.110
Mg4 0.640 0.250 0.280

***

No. 3
The following is a computed X-ray powder pattern of Nd8Ho3Mg. It was derived from a structure optimized by DFT (GGA-PBE), using Cu Ka.
No peak broadening, texture or thermal motion is included.

Peak list (12 most intense, 2θ from 10° to 90°, in order of rising 2θ)
| two_theta | I (rel.) |
| --- | --- |
| 24.1 | 81 |
| 25.6 | 89 |
| 29.0 | 80 |
| 30.9 | 78 |
| 32.7 | 38 |
| 36.1 | 100 |
| 42.9 | 54 |
| 44.5 | 43 |
| 49.4 | 33 |
| 56.2 | 26 |
| 58.4 | 27 |
| 69.2 | 31 |

Cell and atoms:
Lattice parameters (Å, degrees): 8.445 8.445 8.445 117.98 117.98 93.54
Fractional positions:
Nd1 0.125 0.125 0.745
Nd2 0.241 0.738 0.000
Nd3 0.262 0.262 0.503
Nd4 0.379 0.379 0.255
Nd5 0.621 0.875 0.000
Nd6 0.738 0.241 0.000
Nd7 0.759 0.759 0.497
Nd8 0.875 0.621 0.000
Ho1 0.250 0.750 0.500
Ho2 0.500 0.500 0.000
Ho3 0.750 0.250 0.500
Mg1 0.000 0.000 0.000

***

No. 4
The following is a computed X-ray powder pattern of NdHo5Mg4. It was derived from a structure optimized by DFT (GGA-PBE), using Cu Ka.
No peak broadening, texture or thermal motion is included.

Peak list (12 most intense, 2θ from 10° to 90°, in order of rising 2θ)
| two_theta | I (rel.) |
| --- | --- |
| 21.9 | 17 |
| 23.9 | 38 |
| 29.7 | 12 |
| 32.6 | 100 |
| 34.0 | 54 |
| 40.8 | 14 |
| 48.9 | 20 |
| 55.5 | 11 |
| 57.3 | 11 |
| 60.0 | 37 |
| 80.9 | 9 |
| 81.7 | 9 |

Cell and atoms:
Lattice parameters (Å, degrees): 3.728 3.728 20.313 90.00 90.00 90.00
Fractional positions:
Nd1 0.000 0.000 0.000
Ho1 0.500 0.500 0.121
Ho2 0.500 0.500 0.311
Ho3 0.500 0.500 0.500
Ho4 0.500 0.500 0.689
Ho5 0.500 0.500 0.879
Mg1 0.000 0.000 0.217
Mg2 0.000 0.000 0.405
Mg3 0.000 0.000 0.595
Mg4 0.000 0.000 0.783